1.
Diffraction record for Cr4Hg3. The X-ray powder pattern is theoretical, not measured: it uses a cell relaxed with PBE and Cu Kα (weighted mean of Kα1 and Kα2).
Lines closer than 0.1° are merged.

Crystal structure
Unit cell a=3.0810 b=3.0810 c=25.1383 alpha=90.00 beta=90.00 gamma=90.00
Space group I4/mmm (No. 139)
Asymmetric unit:
Cr (0.0000, 0.0000, 0.0772)
Cr (0.0000, 0.0000, 0.3770)
Hg (0.0000, 0.0000, 0.2016)
Hg (0.0000, 0.0000, 0.5000)

Principal peaks in the range 10 to 90 degrees two-theta, in order of rising 2θ:
two_theta	d/Å	intensity
14.09	6.285	18
30.92	2.892	65
35.72	2.514	24
38.50	2.338	100
41.45	2.179	53
55.84	1.646	27
60.06	1.540	17
69.09	1.360	14
70.66	1.333	16
73.64	1.286	29



2.
Diffraction record for Cr3Hg. The X-ray powder pattern is theoretical, not measured: it uses a cell relaxed with PBE and Cu Kα (weighted mean of Kα1 and Kα2).
Lines closer than 0.1° are merged.

Crystal structure
Unit cell a=8.6244 b=8.6244 c=2.6109 alpha=90.00 beta=90.00 gamma=120.00
Space group R-3m (No. 166, hexagonal axes)
Asymmetric unit:
Cr (0.0000, 0.5000, 0.0000)
Hg (0.0000, 0.0000, 0.0000)

Principal peaks in the range 10 to 90 degrees two-theta, in order of rising 2θ:
two_theta	d/Å	intensity
20.60	4.312	96
36.08	2.490	25
36.45	2.465	25
41.90	2.156	100
42.23	2.140	98
47.43	1.917	24
61.01	1.519	31
76.53	1.245	16
76.76	1.242	32
77.45	1.232	15



3.
Diffraction record for CrHg4. The X-ray powder pattern is theoretical, not measured: it uses a cell relaxed with PBE and Cu Kα (weighted mean of Kα1 and Kα2).
Lines closer than 0.1° are merged.

Crystal structure
Unit cell a=7.2061 b=7.2061 c=4.3335 alpha=90.00 beta=90.00 gamma=90.00
Space group I4/m (No. 87)
Asymmetric unit:
Cr (0.0000, 0.0000, 0.0000)
Hg (0.1024, 0.7080, 0.5000)

Principal peaks in the range 10 to 90 degrees two-theta, in order of rising 2θ:
two_theta	d/Å	intensity
23.96	3.714	9
24.71	3.603	5
34.69	2.586	100
39.55	2.279	36
41.68	2.167	15
57.17	1.611	12
58.81	1.570	23
68.63	1.368	27
71.59	1.318	13
73.20	1.293	11



4.
Diffraction record for Ho2CrHg. The X-ray powder pattern is theoretical, not measured: it uses a cell relaxed with PBE and Cu Kα (weighted mean of Kα1 and Kα2).
Lines closer than 0.1° are merged.

Crystal structure
Unit cell a=3.5544 b=3.5544 c=7.5521 alpha=90.00 beta=90.00 gamma=90.00
Space group P4/mmm (No. 123)
Asymmetric unit:
Ho (0.0000, 0.0000, 0.2304)
Cr (0.5000, 0.5000, 0.0000)
Hg (0.5000, 0.5000, 0.5000)

Principal peaks in the range 10 to 90 degrees two-theta, in order of rising 2θ:
two_theta	d/Å	intensity
11.72	7.552	10
27.74	3.216	19
34.66	2.588	100
35.72	2.514	53
48.20	1.888	9
51.40	1.778	24
61.42	1.510	17
63.50	1.465	35
73.13	1.294	10
86.60	1.124	10



5.
Diffraction record for CrHgSb2I. The X-ray powder pattern is theoretical, not measured: it uses a cell relaxed with PBE and Cu Kα (weighted mean of Kα1 and Kα2).
Lines closer than 0.1° are merged.

Crystal structure
Unit cell a=5.0647 b=5.0647 c=5.8550 alpha=90.00 beta=90.00 gamma=90.00
Space group P4/mmm (No. 123)
Asymmetric unit:
Cr (0.0000, 0.0000, 0.0000)
Hg (0.5000, 0.5000, 0.5000)
Sb (0.0000, 0.5000, 0.0000)
I (0.0000, 0.0000, 0.5000)

Principal peaks in the range 10 to 90 degrees two-theta, in order of rising 2θ:
two_theta	d/Å	intensity
29.23	3.055	100
30.54	2.928	33
35.45	2.532	44
47.47	1.915	38
51.00	1.791	16
53.47	1.714	19
59.87	1.545	27
60.62	1.528	18
74.96	1.267	15
85.76	1.133	14



6.
Diffraction record for CrInHg. The X-ray powder pattern is theoretical, not measured: it uses a cell relaxed with PBE and Cu Kα (weighted mean of Kα1 and Kα2).
Lines closer than 0.1° are merged.

Crystal structure
Unit cell a=3.0703 b=4.7087 c=4.7337 alpha=90.00 beta=90.00 gamma=90.00
Space group Pmmm (No. 47)
Asymmetric unit:
Cr (0.0000, 0.0000, 0.0000)
In (0.5000, 0.5000, 0.0000)
Hg (0.5000, 0.0000, 0.5000)

Principal peaks in the range 10 to 90 degrees two-theta, in order of rising 2θ:
two_theta	d/Å	intensity
18.85	4.709	22
26.70	3.338	72
29.08	3.070	29
38.02	2.367	29
38.23	2.354	28
39.89	2.260	100
48.57	1.875	15
55.01	1.669	19
69.95	1.345	19
70.22	1.340	18



7.
Diffraction record for CrInHg. The X-ray powder pattern is theoretical, not measured: it uses a cell relaxed with PBE and Cu Kα (weighted mean of Kα1 and Kα2).
Lines closer than 0.1° are merged.

Crystal structure
Unit cell a=9.7081 b=4.4722 c=6.1632 alpha=90.00 beta=91.74 gamma=90.00
Space group Cm (No. 8)
Asymmetric unit:
Cr (0.0000, 0.0000, 0.0000)
Cr (0.1133, 0.0000, 0.5407)
In (0.2211, 0.5000, 0.7987)
In (0.4159, 0.0000, 0.6663)
Hg (0.1070, 0.5000, 0.2611)
Hg (0.3041, 0.0000, 0.1649)

Principal peaks in the range 10 to 90 degrees two-theta, in order of rising 2θ:
two_theta	d/Å	intensity
14.38	6.160	22
21.88	4.062	47
28.99	3.080	30
34.21	2.621	29
36.38	2.469	100
36.94	2.433	35
37.63	2.391	82
39.51	2.281	36
40.34	2.236	46
57.73	1.597	30



8.
Diffraction record for CrHgIr2. The X-ray powder pattern is theoretical, not measured: it uses a cell relaxed with PBE and Cu Kα (weighted mean of Kα1 and Kα2).
Lines closer than 0.1° are merged.

Crystal structure
Unit cell a=9.1904 b=2.8443 c=4.9106 alpha=90.00 beta=102.04 gamma=90.00
Space group C2/m (No. 12)
Asymmetric unit:
Cr (0.0000, 0.0000, 0.0000)
Hg (0.0000, 0.5000, 0.5000)
Ir (0.2352, 0.5000, 0.2237)

Principal peaks in the range 10 to 90 degrees two-theta, in order of rising 2θ:
two_theta	d/Å	intensity
29.93	2.985	20
38.65	2.329	53
39.16	2.300	100
40.13	2.247	45
45.28	2.003	69
46.45	1.955	27
65.86	1.418	21
67.90	1.380	16
78.84	1.214	27
79.84	1.201	17